Record 1
Theoretical powder diffraction line list
Compound: Dy4SbSe3
Radiation: Cu Kα (weighted mean of Kα1 and Kα2)
Structure: a structure optimized by DFT (GGA-PBE)
Kinematic intensities with the Lorentz-polarization factor, no thermal factor.

The 12 most intense peaks (15° ≤ 2θ ≤ 90°), low angle first:
Position (°2θ)	I_rel	index
26.2	15	1 1 0
30.4	100	0 2 0
43.5	62	2 0 0
43.6	12	0 0 4
51.5	7	1 3 0
53.9	13	2 2 0
54.1	13	0 2 4
63.2	12	0 4 0
71.6	6	3 0 2
71.8	28	1 4 2
79.8	13	2 4 0
80.0	12	0 4 4

abc: 4.1675 5.8798 8.3085
angles: 90.00 90.00 90.00
Space group Pmmm (No. 47)
Inequivalent atoms, fractional coordinates:
Dy (0.0000, 0.0000, 0.0000)
Dy (0.0000, 0.0000, 0.5000)
Dy (0.5000, 0.5000, 0.2387)
Sb (0.0000, 0.5000, 0.5000)
Se (0.0000, 0.5000, 0.0000)
Se (0.5000, 0.0000, 0.2475)

---

Record 2
Theoretical powder diffraction line list
Compound: Ag12BiSe7
Radiation: Cu Kα (weighted mean of Kα1 and Kα2)
Structure: a structure optimized by DFT (GGA-PBE)
Kinematic intensities with the Lorentz-polarization factor, no thermal factor.

The 12 most intense peaks (15° ≤ 2θ ≤ 90°), low angle first:
Position (°2θ)	I_rel	index
23.6	22	3 -1 1
26.3	21	0 0 3
28.1	84	3 -2 2
30.1	52	1 1 3
36.5	33	3 0 3
37.5	30	5 -2 1
38.4	100	1 4 0
39.4	20	2 2 3
40.7	30	2 3 2
45.5	17	2 4 1
47.0	20	4 -3 4
48.2	26	6 -2 2

abc: 12.4127 12.4127 10.1567
angles: 90.00 90.00 120.00
Space group R-3 (No. 148, hexagonal axes)
Inequivalent atoms, fractional coordinates:
Ag (0.0180, 0.2440, 0.2332)
Ag (0.0790, 0.2400, 0.5668)
Bi (0.0000, 0.0000, 0.0000)
Se (0.0000, 0.0000, 0.5000)
Se (0.0016, 0.1993, 0.8291)